Entry 1:
# CsErTeO
Theoretical XRD peak list, Cu Ka. Input: a DFT-relaxed cell (PBE, OQMD).

Top 12 peaks for 2θ = 15–90°, most intense first:
- 2θ = 28.5°, 3.134 Å, I = 100, (1 2 -1)
- 2θ = 29.9°, 2.986 Å, I = 45, (1 0 2)
- 2θ = 31.5°, 2.837 Å, I = 44, (3 1 -1)
- 2θ = 27.5°, 3.249 Å, I = 42, (2 1 1)
- 2θ = 34.7°, 2.586 Å, I = 39, (2 2 1)
- 2θ = 28.0°, 3.191 Å, I = 26, (3 0 0)
- 2θ = 32.2°, 2.778 Å, I = 24, (2 2 -1)
- 2θ = 26.9°, 3.310 Å, I = 20, (0 0 2)
- 2θ = 47.6°, 1.909 Å, I = 18, (1 2 -3)
- 2θ = 30.3°, 2.950 Å, I = 17, (2 0 -2)
- 2θ = 57.6°, 1.601 Å, I = 15, (4 3 -2)
- 2θ = 30.5°, 2.929 Å, I = 14, (3 1 0)

Structural model:
a b c (Å): 9.696 7.398 6.705
angles (deg): 90.00 99.12 90.00
Space group P2_1/c (No. 14)
Symmetry-distinct sites (fractional):
Cs 0.131 0.089 0.335 (multiplicity 4)
Er 0.493 0.635 0.793 (multiplicity 4)
Te 0.267 0.580 0.378 (multiplicity 4)
O 0.435 0.141 0.384 (multiplicity 4)

Entry 2:
# TbErGa2Pt4
Theoretical XRD peak list, Cu Ka. Input: a DFT-relaxed cell (PBE, OQMD).

Top 12 peaks for 2θ = 15–90°, most intense first:
- 2θ = 38.0°, 2.368 Å, I = 100, (1 0 3)
- 2θ = 41.2°, 2.193 Å, I = 69, (1 1 0)
- 2θ = 57.3°, 1.609 Å, I = 31, (2 0 3)
- 2θ = 23.4°, 3.798 Å, I = 31, (1 0 0)
- 2θ = 72.9°, 1.297 Å, I = 30, (2 1 3)
- 2θ = 76.4°, 1.246 Å, I = 13, (1 1 6)
- 2θ = 75.0°, 1.266 Å, I = 12, (3 0 0)
- 2θ = 66.5°, 1.407 Å, I = 10, (1 0 6)
- 2θ = 89.4°, 1.096 Å, I = 8, (2 2 0)
- 2θ = 81.2°, 1.184 Å, I = 6, (2 0 6)
- 2θ = 47.9°, 1.899 Å, I = 5, (2 0 0)
- 2θ = 61.2°, 1.515 Å, I = 4, (0 0 6)

Structural model:
a b c (Å): 4.3856 4.3856 9.0876
angles (deg): 90.00 90.00 120.00
Space group P-6m2 (No. 187)
Symmetry-distinct sites (fractional):
Tb 0.0000 0.0000 0.0000 (multiplicity 1)
Er 0.3333 0.6667 0.5000 (multiplicity 1)
Ga 0.6667 0.3333 0.2507 (multiplicity 2)
Pt 0.0000 0.0000 0.3377 (multiplicity 2)
Pt 0.3333 0.6667 0.1673 (multiplicity 2)

Entry 3:
# TbDyNi2B2N2
Theoretical XRD peak list, Cu Ka. Input: a DFT-relaxed cell (PBE, OQMD).

Top 12 peaks for 2θ = 15–90°, most intense first:
- 2θ = 28.1°, 3.173 Å, I = 100, (1 0 1)
- 2θ = 38.3°, 2.351 Å, I = 68, (1 1 1)
- 2θ = 35.0°, 2.561 Å, I = 68, (1 0 2)
- 2θ = 43.8°, 2.067 Å, I = 50, (1 1 2)
- 2θ = 35.9°, 2.504 Å, I = 49, (0 0 3)
- 2θ = 52.3°, 1.750 Å, I = 37, (2 0 0)
- 2θ = 65.0°, 1.435 Å, I = 33, (2 0 3)
- 2θ = 60.4°, 1.533 Å, I = 26, (2 1 1)
- 2θ = 64.5°, 1.445 Å, I = 24, (2 1 2)
- 2θ = 36.3°, 2.475 Å, I = 24, (1 1 0)
- 2θ = 55.5°, 1.655 Å, I = 21, (1 0 4)
- 2θ = 62.0°, 1.496 Å, I = 17, (1 1 4)

Structural model:
a b c (Å): 3.500 3.500 7.512
angles (deg): 90.00 90.00 90.00
Space group P4mm (No. 99)
Symmetry-distinct sites (fractional):
Tb 0.000 0.000 0.000 (multiplicity 1)
Dy 0.500 0.500 0.336 (multiplicity 1)
Ni 0.000 0.500 0.668 (multiplicity 2)
B 0.000 0.000 0.508 (multiplicity 1)
B 0.500 0.500 0.829 (multiplicity 1)
N 0.000 0.000 0.314 (multiplicity 1)
N 0.500 0.500 0.023 (multiplicity 1)

Entry 4:
# TbDyGa2Ni4
Theoretical XRD peak list, Cu Ka. Input: a DFT-relaxed cell (PBE, OQMD).

Top 12 peaks for 2θ = 15–90°, most intense first:
- 2θ = 39.5°, 2.282 Å, I = 100, (1 0 3)
- 2θ = 43.6°, 2.077 Å, I = 84, (1 1 0)
- 2θ = 26.8°, 3.332 Å, I = 41, (1 0 1)
- 2θ = 32.1°, 2.792 Å, I = 34, (1 0 2)
- 2θ = 60.3°, 1.536 Å, I = 28, (2 0 3)
- 2θ = 77.3°, 1.235 Å, I = 26, (2 1 3)
- 2θ = 61.2°, 1.515 Å, I = 25, (1 1 4)
- 2θ = 24.8°, 3.597 Å, I = 15, (1 0 0)
- 2θ = 40.8°, 2.214 Å, I = 14, (0 0 4)
- 2θ = 80.0°, 1.199 Å, I = 13, (3 0 0)
- 2θ = 68.8°, 1.365 Å, I = 13, (1 0 6)
- 2θ = 55.1°, 1.666 Å, I = 8, (2 0 2)

Structural model:
a b c (Å): 4.1532 4.1532 8.8549
angles (deg): 90.00 90.00 120.00
Space group P-6m2 (No. 187)
Symmetry-distinct sites (fractional):
Tb 0.0000 0.0000 0.0000 (multiplicity 1)
Dy 0.6667 0.3333 0.5000 (multiplicity 1)
Ga 0.3333 0.6667 0.2511 (multiplicity 2)
Ni 0.0000 0.0000 0.3145 (multiplicity 2)
Ni 0.6667 0.3333 0.1882 (multiplicity 2)

Entry 5:
# PmFeSi2
Theoretical XRD peak list, Cu Ka. Input: a DFT-relaxed cell (PBE, OQMD).

Top 12 peaks for 2θ = 15–90°, most intense first:
- 2θ = 31.6°, 2.833 Å, I = 100, (1 1 2)
- 2θ = 34.4°, 2.604 Å, I = 88, (2 1 0)
- 2θ = 27.3°, 3.261 Å, I = 63, (1 1 1)
- 2θ = 36.3°, 2.476 Å, I = 56, (0 0 4)
- 2θ = 37.7°, 2.387 Å, I = 54, (1 1 3)
- 2θ = 22.1°, 4.016 Å, I = 53, (1 0 2)
- 2θ = 45.4°, 1.999 Å, I = 45, (0 2 0)
- 2θ = 37.8°, 2.379 Å, I = 44, (2 0 3)
- 2θ = 27.5°, 3.242 Å, I = 39, (2 0 1)
- 2θ = 62.4°, 1.489 Å, I = 38, (1 1 6)
- 2θ = 59.4°, 1.556 Å, I = 36, (0 2 4)
- 2θ = 44.3°, 2.044 Å, I = 36, (2 1 3)

Structural model:
a b c (Å): 6.863 3.997 9.905
angles (deg): 90.00 90.00 90.00
Space group Pnma (No. 62)
Symmetry-distinct sites (fractional):
Pm 0.157 0.250 0.122 (multiplicity 4)
Fe 0.012 0.750 0.389 (multiplicity 4)
Si 0.160 0.250 0.812 (multiplicity 4)
Si 0.174 0.250 0.423 (multiplicity 4)

Entry 6:
# Li7AuO6
Theoretical XRD peak list, Cu Ka. Input: a DFT-relaxed cell (PBE, OQMD).

Top 12 peaks for 2θ = 15–90°, most intense first:
- 2θ = 19.5°, 4.553 Å, I = 100, (1 0 1)
- 2θ = 22.3°, 3.994 Å, I = 75, (0 1 2)
- 2θ = 37.5°, 2.400 Å, I = 47, (1 1 3)
- 2θ = 18.5°, 4.803 Å, I = 32, (0 0 3)
- 2θ = 31.0°, 2.881 Å, I = 28, (1 0 4)
- 2θ = 50.3°, 1.815 Å, I = 27, (1 1 6)
- 2θ = 36.4°, 2.471 Å, I = 20, (0 1 5)
- 2θ = 38.0°, 2.367 Å, I = 16, (0 2 1)
- 2θ = 50.7°, 1.800 Å, I = 15, (2 1 1)
- 2θ = 52.0°, 1.759 Å, I = 15, (1 2 2)
- 2θ = 32.3°, 2.771 Å, I = 14, (1 1 0)
- 2θ = 57.6°, 1.600 Å, I = 14, (3 0 0)

Structural model:
a b c (Å): 5.5410 5.5410 14.4105
angles (deg): 90.00 90.00 120.00
Space group R3 (No. 146, hexagonal axes)
Symmetry-distinct sites (fractional):
Li 0.0000 0.0000 0.0000 (multiplicity 3)
Li 0.0514 0.7081 0.8770 (multiplicity 9)
Li 0.0614 0.3866 0.0994 (multiplicity 9)
Au 0.0000 0.0000 0.6551 (multiplicity 3)
O 0.0066 0.2971 0.5706 (multiplicity 9)
O 0.0101 0.6270 0.4038 (multiplicity 9)

Entry 7:
# KHfTePdSeS
Theoretical XRD peak list, Cu Ka. Input: a DFT-relaxed cell (PBE, OQMD).

Top 12 peaks for 2θ = 15–90°, most intense first:
- 2θ = 33.0°, 2.718 Å, I = 100, (2 1 0)
- 2θ = 43.4°, 2.084 Å, I = 84, (2 1 -4)
- 2θ = 35.4°, 2.535 Å, I = 72, (1 1 -3)
- 2θ = 31.8°, 2.816 Å, I = 63, (2 1 -1)
- 2θ = 34.2°, 2.623 Å, I = 49, (1 0 3)
- 2θ = 40.0°, 2.256 Å, I = 48, (3 1 -1)
- 2θ = 28.1°, 3.179 Å, I = 45, (0 0 3)
- 2θ = 48.5°, 1.877 Å, I = 40, (0 2 0)
- 2θ = 42.0°, 2.152 Å, I = 35, (3 1 0)
- 2θ = 26.4°, 3.372 Å, I = 34, (1 1 -1)
- 2θ = 22.6°, 3.942 Å, I = 33, (2 0 0)
- 2θ = 42.8°, 2.114 Å, I = 33, (2 0 3)

Structural model:
a b c (Å): 8.526 3.753 10.316
angles (deg): 90.00 112.39 90.00
Space group P2_1/m (No. 11)
Symmetry-distinct sites (fractional):
K 0.238 0.250 0.235 (multiplicity 2)
Hf 0.318 0.750 0.847 (multiplicity 2)
Te 0.270 0.750 0.550 (multiplicity 2)
Pd 0.092 0.250 0.616 (multiplicity 2)
Se 0.106 0.250 0.868 (multiplicity 2)
S 0.460 0.750 0.121 (multiplicity 2)

Entry 8:
# SnHgNO
Theoretical XRD peak list, Cu Ka. Input: a DFT-relaxed cell (PBE, OQMD).

Top 12 peaks for 2θ = 15–90°, most intense first:
- 2θ = 31.3°, 2.860 Å, I = 100, (1 2 1)
- 2θ = 32.5°, 2.755 Å, I = 62, (2 0 1)
- 2θ = 31.1°, 2.879 Å, I = 46, (0 0 2)
- 2θ = 27.1°, 3.295 Å, I = 44, (1 2 0)
- 2θ = 59.6°, 1.551 Å, I = 27, (3 2 2)
- 2θ = 49.5°, 1.840 Å, I = 26, (3 2 0)
- 2θ = 41.7°, 2.168 Å, I = 25, (1 2 2)
- 2θ = 55.4°, 1.658 Å, I = 25, (1 2 3)
- 2θ = 58.3°, 1.584 Å, I = 23, (2 4 1)
- 2θ = 56.2°, 1.637 Å, I = 16, (2 0 3)
- 2θ = 57.4°, 1.606 Å, I = 15, (0 4 2)
- 2θ = 46.9°, 1.936 Å, I = 14, (0 4 0)

Structural model:
a b c (Å): 6.275 7.743 5.757
angles (deg): 90.00 90.00 90.00
Space group Pca2_1 (No. 29)
Symmetry-distinct sites (fractional):
Sn 0.091 0.109 0.000 (multiplicity 4)
Hg 0.098 0.614 0.015 (multiplicity 4)
N 0.098 0.092 0.635 (multiplicity 4)
O 0.032 0.668 0.606 (multiplicity 4)